Theoretical powder XRD pattern
Compound: Tm5Sc2Tl
Radiation: Cu Kα X-rays
Structure: the GGA-PBE geometry in Alexandria
Neutral-atom scattering factors, no anomalous dispersion.

Principal peaks in the range 2θ from 15° to 90°, in order of falling intensity:
| Position (°2θ) | I_rel | h k l |
| --- | --- | --- |
| 32.13 | 100 | 1 3 2 |
| 33.49 | 63 | 1 1 5 |
| 29.24 | 61 | 1 1 4 |
| 36.17 | 50 | 0 4 3 |
| 36.60 | 50 | 2 0 0 |
| 20.48 | 45 | 1 1 1 |
| 52.40 | 35 | 2 4 3 |
| 34.36 | 35 | 1 3 3 |
| 60.01 | 24 | 1 5 7 |
| 61.41 | 21 | 1 7 0 |
| 34.03 | 21 | 0 4 2 |
| 41.27 | 20 | 0 2 7 |

Structural model:
Lattice parameters (Å, degrees): 4.9110 11.1068 16.6608 90.00 90.00 90.00
Space group Cmcm (No. 63)
Symmetry-distinct sites (fractional):
Tm 0.0000 0.0205 0.2500 [4 per cell]
Tm 0.0000 0.1470 0.0361 [8 per cell]
Tm 0.0000 0.4453 0.0951 [8 per cell]
Sc 0.0000 0.2604 0.6525 [8 per cell]
Tl 0.0000 0.3011 0.2500 [4 per cell]